# 1
# Y15Tm4Th
Calculated powder diffraction line list, Cu Kα. Input: a PBE-relaxed structure.
Neutral-atom scattering factors, no anomalous dispersion.

Peak list (12 most intense, 2θ = 10–80°, by intensity)
d 2.906, intensity 100, hkl 1 1 5; d 2.517, intensity 50, hkl 2 0 0; d 1.780, intensity 35, hkl 2 2 0; d 1.519, intensity 28, hkl 3 1 5; d 1.516, intensity 14, hkl 1 1 15; d 1.453, intensity 12, hkl 2 2 10; d 5.033, intensity 10, hkl 1 0 0; d 3.559, intensity 9, hkl 1 1 0; d 2.251, intensity 6, hkl 1 0 10; d 2.055, intensity 4, hkl 2 1 5; d 1.259, intensity 4, hkl 4 0 0; d 1.678, intensity 3, hkl 2 1 10

Structure:
abc: 5.038 5.038 25.126
angles: 90.00 90.00 90.00
Space group P4/mmm (No. 123)
Inequivalent atoms, fractional coordinates:
Y: 0.000 0.000 0.000 (multiplicity 1)
Y: 0.000 0.000 0.202 (multiplicity 2)
Y: 0.000 0.000 0.400 (multiplicity 2)
Y: 0.000 0.500 0.100 (multiplicity 4)
Y: 0.000 0.500 0.300 (multiplicity 4)
Y: 0.000 0.500 0.500 (multiplicity 2)
Tm: 0.500 0.500 0.200 (multiplicity 2)
Tm: 0.500 0.500 0.400 (multiplicity 2)
Th: 0.500 0.500 0.000 (multiplicity 1)

=====

# 2
# Cs3Ca2CdF9
Calculated powder diffraction line list, Cu Kα. Input: a PBE-relaxed structure.
Neutral-atom scattering factors, no anomalous dispersion.

Peak list (12 most intense, 2θ = 10–80°, by intensity)
d 3.227, intensity 100, hkl 1 1 0; d 1.863, intensity 41, hkl 3 0 0; d 2.282, intensity 39, hkl 2 0 2; d 1.614, intensity 25, hkl 2 2 0; d 1.220, intensity 21, hkl 4 1 0; d 2.635, intensity 19, hkl 0 2 1; d 1.443, intensity 18, hkl 3 1 2; d 4.564, intensity 8, hkl 1 0 1; d 1.318, intensity 8, hkl 0 4 2; d 1.376, intensity 6, hkl 4 0 1; d 2.041, intensity 4, hkl 2 1 1; d 5.589, intensity 3, hkl 1 0 0

Structure:
abc: 6.4536 6.4536 7.9081
angles: 90.00 90.00 120.00
Space group P-3m1 (No. 164)
Inequivalent atoms, fractional coordinates:
Cs: 0.0000 0.0000 0.0000 (multiplicity 1)
Cs: 0.3333 0.6667 0.6643 (multiplicity 2)
Ca: 0.3333 0.6667 0.1648 (multiplicity 2)
Cd: 0.0000 0.0000 0.5000 (multiplicity 1)
F: 0.0000 0.5000 0.0000 (multiplicity 3)
F: 0.1662 0.3324 0.3340 (multiplicity 6)

=====

# 3
# RbTlCdTe2
Calculated powder diffraction line list, Cu Kα. Input: a PBE-relaxed structure.
Neutral-atom scattering factors, no anomalous dispersion.

Peak list (12 most intense, 2θ = 10–80°, by intensity)
d 2.819, intensity 100, hkl 3 1 -3; d 2.976, intensity 82, hkl 5 1 -1; d 4.367, intensity 69, hkl 4 0 -2; d 3.449, intensity 66, hkl 3 1 -2; d 3.245, intensity 55, hkl 2 0 2; d 2.406, intensity 52, hkl 0 2 0; d 3.866, intensity 37, hkl 1 1 1; d 4.088, intensity 35, hkl 4 0 0; d 2.725, intensity 33, hkl 6 0 0; d 8.176, intensity 33, hkl 2 0 0; d 1.973, intensity 30, hkl 3 1 3; d 1.933, intensity 25, hkl 2 2 2

Structure:
abc: 19.247 4.812 10.435
angles: 90.00 121.83 90.00
Space group C2/m (No. 12)
Inequivalent atoms, fractional coordinates:
Rb: 0.237 0.000 0.272 (multiplicity 4)
Tl: 0.091 0.500 0.913 (multiplicity 4)
Cd: 0.058 0.000 0.415 (multiplicity 4)
Te: 0.105 0.500 0.322 (multiplicity 4)
Te: 0.121 0.000 0.738 (multiplicity 4)

=====

# 4
# SrIr5
Calculated powder diffraction line list, Cu Kα. Input: a PBE-relaxed structure.
Neutral-atom scattering factors, no anomalous dispersion.

Peak list (12 most intense, 2θ = 10–80°, by intensity)
d 2.285, intensity 100, hkl 3 1 0; d 2.222, intensity 75, hkl 3 1 -1; d 5.992, intensity 63, hkl 2 0 0; d 2.033, intensity 59, hkl 1 1 2; d 6.410, intensity 54, hkl 0 0 1; d 2.111, intensity 53, hkl 1 1 -2; d 2.130, intensity 42, hkl 2 0 -3; d 2.006, intensity 42, hkl 6 0 -1; d 2.024, intensity 34, hkl 4 0 2; d 2.646, intensity 33, hkl 2 0 2; d 1.380, intensity 25, hkl 7 1 1; d 2.553, intensity 21, hkl 4 0 1

Structure:
abc: 12.161 2.786 6.504
angles: 90.00 99.76 90.00
Space group Cm (No. 8)
Inequivalent atoms, fractional coordinates:
Sr: 0.000 0.000 0.000 (multiplicity 2)
Ir: 0.047 0.000 0.544 (multiplicity 2)
Ir: 0.182 0.500 0.343 (multiplicity 2)
Ir: 0.233 0.500 0.743 (multiplicity 2)
Ir: 0.279 0.000 0.078 (multiplicity 2)
Ir: 0.366 0.000 0.504 (multiplicity 2)

=====

# 5
# Cs2MgAlI6
Calculated powder diffraction line list, Cu Kα. Input: a PBE-relaxed structure.
Neutral-atom scattering factors, no anomalous dispersion.

Peak list (12 most intense, 2θ = 10–80°, by intensity)
d 3.412, intensity 100, hkl 2 0 2; d 2.955, intensity 63, hkl 2 2 0; d 2.090, intensity 47, hkl 4 0 0; d 1.782, intensity 46, hkl 4 2 2; d 1.356, intensity 19, hkl 6 0 2; d 1.706, intensity 16, hkl 4 0 4; d 1.206, intensity 16, hkl 6 2 4; d 1.322, intensity 14, hkl 4 4 4; d 1.321, intensity 7, hkl 6 2 0; d 1.477, intensity 5, hkl 4 4 0; d 1.479, intensity 3, hkl 0 0 8; d 4.179, intensity 1, hkl 2 0 0

Structure:
abc: 8.353 8.353 11.835
angles: 90.00 90.00 90.00
Space group I4/mmm (No. 139)
Inequivalent atoms, fractional coordinates:
Cs: 0.000 0.500 0.250 (multiplicity 4)
Mg: 0.000 0.000 0.000 (multiplicity 2)
Al: 0.000 0.000 0.500 (multiplicity 2)
I: 0.000 0.000 0.252 (multiplicity 4)
I: 0.248 0.248 0.500 (multiplicity 8)